Starting from a GGA-PBE-relaxed structure, the powder XRD pattern of CsH2CO3 was simulated for Cu Kα (weighted mean of Kα1 and Kα2).
Peak positions follow from Bragg's law for the DFT cell and can differ from measured ones.

Structural model:
```
data_CsH2CO3
_chemical_formula_sum 'Cs4 H8 C4 O12'
_space_group_name_H-M_alt 'P 1 21/c 1'
_space_group_IT_number 14
_space_group_name_Hall '-P 2ybc'
_cell_length_a 6.174
_cell_length_b 11.113
_cell_length_c 6.396
_cell_angle_alpha 90.00
_cell_angle_beta 109.51
_cell_angle_gamma 90.00
loop_
_atom_site_label
_atom_site_type_symbol
_atom_site_fract_x
_atom_site_fract_y
_atom_site_fract_z
_atom_site_occupancy
Cs1 Cs 0.113 0.112 0.297 1
H1 H 0.338 0.645 0.873 1
H2 H 0.344 0.737 0.061 1
C1 C 0.477 0.060 0.930 1
O1 O 0.277 0.104 0.868 1
O2 O 0.319 0.651 0.020 1
O3 O 0.349 0.606 0.607 1
```

Main lines, in order of rising 2θ (2θ from 10° to 90°):
| Position (°2θ) | I/Imax |
| --- | --- |
| 15.2 | 42 |
| 21.8 | 91 |
| 23.6 | 100 |
| 25.8 | 55 |
| 28.4 | 55 |
| 29.4 | 44 |
| 32.2 | 50 |
| 39.4 | 47 |



Starting from a GGA-PBE-relaxed structure, the powder XRD pattern of CsTiH10C4O13 was simulated for Cu Kα (weighted mean of Kα1 and Kα2).
Peak positions follow from Bragg's law for the DFT cell and can differ from measured ones.

Structural model:
```
data_CsTiH10C4O13
_chemical_formula_sum 'Cs2 Ti2 H20 C8 O26'
_space_group_name_H-M_alt 'P 1 21/m 1'
_space_group_IT_number 11
_space_group_name_Hall '-P 2yb'
_cell_length_a 7.298
_cell_length_b 11.604
_cell_length_c 7.702
_cell_angle_alpha 90.00
_cell_angle_beta 95.14
_cell_angle_gamma 90.00
loop_
_atom_site_label
_atom_site_type_symbol
_atom_site_fract_x
_atom_site_fract_y
_atom_site_fract_z
_atom_site_occupancy
Cs1 Cs 0.050 0.250 0.229 1
Ti1 Ti 0.357 0.250 0.737 1
H1 H 0.005 0.178 0.659 1
H2 H 0.168 0.549 0.228 1
H3 H 0.197 0.563 0.435 1
H4 H 0.337 0.679 0.061 1
H5 H 0.464 0.682 0.552 1
C1 C 0.278 0.028 0.912 1
C2 C 0.323 0.505 0.729 1
O1 O 0.082 0.250 0.645 1
O2 O 0.104 0.560 0.335 1
O3 O 0.242 0.549 0.021 1
O4 O 0.279 0.137 0.939 1
O5 O 0.305 0.605 0.670 1
O6 O 0.375 0.083 0.643 1
O7 O 0.387 0.750 0.122 1
O8 O 0.471 0.250 0.490 1
```

Main lines, in order of rising 2θ (2θ from 10° to 90°):
| Position (°2θ) | I/Imax |
| --- | --- |
| 14.4 | 38 |
| 15.3 | 31 |
| 17.8 | 70 |
| 19.2 | 76 |
| 26.1 | 31 |
| 27.9 | 29 |
| 28.1 | 100 |
| 29.0 | 64 |



Starting from a GGA-PBE-relaxed structure, the powder XRD pattern of CsPH2C was simulated for Cu Kα (weighted mean of Kα1 and Kα2).
Peak positions follow from Bragg's law for the DFT cell and can differ from measured ones.

Structural model:
```
data_CsPH2C
_chemical_formula_sum 'Cs2 P2 H4 C2'
_space_group_name_H-M_alt 'C 1 2 1'
_space_group_IT_number 5
_space_group_name_Hall 'C 2y'
_cell_length_a 9.328
_cell_length_b 5.775
_cell_length_c 5.934
_cell_angle_alpha 90.00
_cell_angle_beta 129.42
_cell_angle_gamma 90.00
loop_
_atom_site_label
_atom_site_type_symbol
_atom_site_fract_x
_atom_site_fract_y
_atom_site_fract_z
_atom_site_occupancy
Cs1 Cs 0.000 0.000 0.000 1
P1 P 0.000 0.624 0.500 1
H1 H 0.126 0.223 0.632 1
C1 C 0.000 0.333 0.500 1
```

Main lines, in order of rising 2θ (2θ from 10° to 90°):
| Position (°2θ) | I/Imax |
| --- | --- |
| 19.4 | 33 |
| 19.7 | 49 |
| 21.5 | 100 |
| 24.7 | 43 |
| 30.1 | 26 |
| 33.0 | 66 |
| 36.8 | 37 |
| 39.3 | 23 |



Starting from a GGA-PBE-relaxed structure, the powder XRD pattern of Cs2LiCI6 was simulated for Cu Kα (weighted mean of Kα1 and Kα2).
Peak positions follow from Bragg's law for the DFT cell and can differ from measured ones.

Structural model:
```
data_Cs2LiCI6
_chemical_formula_sum 'Cs4 Li2 C2 I12'
_space_group_name_H-M_alt 'I 4/m m m'
_space_group_IT_number 139
_space_group_name_Hall '-I 4 2'
_cell_length_a 8.070
_cell_length_b 8.070
_cell_length_c 11.465
_cell_angle_alpha 90.00
_cell_angle_beta 90.00
_cell_angle_gamma 90.00
loop_
_atom_site_label
_atom_site_type_symbol
_atom_site_fract_x
_atom_site_fract_y
_atom_site_fract_z
_atom_site_occupancy
Cs1 Cs 0.000 0.500 0.250 1
Li1 Li 0.000 0.000 0.000 1
C1 C 0.000 0.000 0.500 1
I1 I 0.000 0.000 0.265 1
I2 I 0.235 0.235 0.500 1
```

Main lines, in order of rising 2θ (2θ from 10° to 90°):
| Position (°2θ) | I/Imax |
| --- | --- |
| 27.0 | 100 |
| 31.2 | 18 |
| 31.4 | 36 |
| 44.8 | 25 |
| 44.9 | 13 |
| 53.0 | 14 |
| 53.2 | 28 |
| 55.7 | 13 |



Starting from a GGA-PBE-relaxed structure, the powder XRD pattern of Cs2PtC4I2N4 was simulated for Cu Kα (weighted mean of Kα1 and Kα2).
Peak positions follow from Bragg's law for the DFT cell and can differ from measured ones.

Structural model:
```
data_Cs2PtC4I2N4
_chemical_formula_sum 'Cs4 Pt2 C8 I4 N8'
_space_group_name_H-M_alt 'P 1 21/c 1'
_space_group_IT_number 14
_space_group_name_Hall '-P 2ybc'
_cell_length_a 7.822
_cell_length_b 10.237
_cell_length_c 9.596
_cell_angle_alpha 90.00
_cell_angle_beta 107.36
_cell_angle_gamma 90.00
loop_
_atom_site_label
_atom_site_type_symbol
_atom_site_fract_x
_atom_site_fract_y
_atom_site_fract_z
_atom_site_occupancy
Cs1 Cs 0.036 0.210 0.385 1
Pt1 Pt 0.500 0.000 0.000 1
C1 C 0.313 0.031 0.103 1
C2 C 0.315 0.037 0.808 1
I1 I 0.409 0.742 0.969 1
N1 N 0.201 0.051 0.159 1
N2 N 0.202 0.060 0.698 1
```

Main lines, in order of rising 2θ (2θ from 10° to 90°):
| Position (°2θ) | I/Imax |
| --- | --- |
| 13.0 | 30 |
| 15.5 | 41 |
| 19.4 | 100 |
| 23.8 | 27 |
| 25.4 | 27 |
| 27.1 | 40 |
| 27.4 | 34 |
| 27.9 | 28 |



Starting from a GGA-PBE-relaxed structure, the powder XRD pattern of CsPr3CI6 was simulated for Cu Kα (weighted mean of Kα1 and Kα2).
Peak positions follow from Bragg's law for the DFT cell and can differ from measured ones.

Structural model:
```
data_CsPr3CI6
_chemical_formula_sum 'Cs2 Pr6 C2 I12'
_space_group_name_H-M_alt 'P -1'
_space_group_IT_number 2
_space_group_name_Hall '-P 1'
_cell_length_a 9.689
_cell_length_b 9.748
_cell_length_c 10.325
_cell_angle_alpha 71.11
_cell_angle_beta 84.66
_cell_angle_gamma 89.55
loop_
_atom_site_label
_atom_site_type_symbol
_atom_site_fract_x
_atom_site_fract_y
_atom_site_fract_z
_atom_site_occupancy
Cs1 Cs 0.035 0.141 0.172 1
Pr1 Pr 0.248 0.584 0.501 1
Pr2 Pr 0.417 0.250 0.503 1
Pr3 Pr 0.473 0.393 0.813 1
C1 C 0.494 0.476 0.572 1
I1 I 0.093 0.298 0.496 1
I2 I 0.162 0.501 0.829 1
I3 I 0.219 0.728 0.176 1
I4 I 0.294 0.909 0.502 1
I5 I 0.346 0.088 0.828 1
I6 I 0.421 0.299 0.173 1
```

Main lines, in order of rising 2θ (2θ from 10° to 90°):
| Position (°2θ) | I/Imax |
| --- | --- |
| 27.5 | 100 |
| 28.9 | 75 |
| 29.2 | 77 |
| 39.5 | 28 |
| 40.2 | 30 |
| 40.9 | 30 |
| 41.2 | 29 |
| 41.5 | 29 |



Starting from a GGA-PBE-relaxed structure, the powder XRD pattern of Cs2ReCI6 was simulated for Cu Kα (weighted mean of Kα1 and Kα2).
Peak positions follow from Bragg's law for the DFT cell and can differ from measured ones.

Structural model:
```
data_Cs2ReCI6
_chemical_formula_sum 'Cs4 Re2 C2 I12'
_space_group_name_H-M_alt 'I 4/m m m'
_space_group_IT_number 139
_space_group_name_Hall '-I 4 2'
_cell_length_a 7.897
_cell_length_b 7.897
_cell_length_c 12.455
_cell_angle_alpha 90.00
_cell_angle_beta 90.00
_cell_angle_gamma 90.00
loop_
_atom_site_label
_atom_site_type_symbol
_atom_site_fract_x
_atom_site_fract_y
_atom_site_fract_z
_atom_site_occupancy
Cs1 Cs 0.000 0.500 0.250 1
Re1 Re 0.000 0.000 0.000 1
C1 C 0.000 0.000 0.500 1
I1 I 0.000 0.000 0.220 1
I2 I 0.246 0.246 0.500 1
```

Main lines, in order of rising 2θ (2θ from 10° to 90°):
| Position (°2θ) | I/Imax |
| --- | --- |
| 13.3 | 33 |
| 26.7 | 100 |
| 28.7 | 42 |
| 32.1 | 70 |
| 43.5 | 54 |
| 46.0 | 25 |
| 54.0 | 27 |
| 55.1 | 29 |



Starting from a GGA-PBE-relaxed structure, the powder XRD pattern of CsY10C4I18 was simulated for Cu Kα (weighted mean of Kα1 and Kα2).
Peak positions follow from Bragg's law for the DFT cell and can differ from measured ones.

Structural model:
```
data_CsY10C4I18
_chemical_formula_sum 'Cs1 Y10 C4 I18'
_space_group_name_H-M_alt 'P -1'
_space_group_IT_number 2
_space_group_name_Hall '-P 1'
_cell_length_a 11.504
_cell_length_b 11.533
_cell_length_c 11.555
_cell_angle_alpha 66.68
_cell_angle_beta 60.43
_cell_angle_gamma 70.71
loop_
_atom_site_label
_atom_site_type_symbol
_atom_site_fract_x
_atom_site_fract_y
_atom_site_fract_z
_atom_site_occupancy
Cs1 Cs 0.000 0.000 0.000 1
Y1 Y 0.183 0.786 0.544 1
Y2 Y 0.224 0.515 0.424 1
Y3 Y 0.397 0.500 0.658 1
Y4 Y 0.407 0.791 0.204 1
Y5 Y 0.463 0.176 0.574 1
C1 C 0.350 0.620 0.432 1
C2 C 0.426 0.696 0.432 1
I1 I 0.047 0.333 0.423 1
I2 I 0.122 0.655 0.838 1
I3 I 0.145 0.997 0.293 1
I4 I 0.184 0.328 0.719 1
I5 I 0.239 0.682 0.140 1
I6 I 0.281 0.997 0.575 1
I7 I 0.341 0.346 0.968 1
I8 I 0.433 0.999 0.864 1
I9 I 0.471 0.331 0.284 1
```

Main lines, in order of rising 2θ (2θ from 10° to 90°):
| Position (°2θ) | I/Imax |
| --- | --- |
| 24.7 | 39 |
| 24.8 | 34 |
| 25.6 | 64 |
| 28.5 | 100 |
| 29.4 | 79 |
| 29.6 | 86 |
| 41.3 | 30 |
| 41.5 | 30 |